Tm3CdRu: theoretical X-ray diffraction stick pattern (Cu Kα (weighted mean of Kα1 and Kα2)), based on the PBE geometry in Alexandria.
Peak positions follow from Bragg's law for the DFT cell and can differ from measured ones.

```
data_Tm3CdRu
_cell_length_a 6.4143
_cell_length_b 9.5872
_cell_length_c 15.9865
_cell_angle_alpha 90.00
_cell_angle_beta 90.00
_cell_angle_gamma 90.00
_space_group_name_H-M_alt 'F m m m'
_space_group_IT_number 69
_space_group_name_Hall '-F 2 2'
loop_
_atom_site_label
_atom_site_type_symbol
_atom_site_fract_x
_atom_site_fract_y
_atom_site_fract_z
Tm1 Tm 0.0000 0.0000 0.1995
Tm2 Tm 0.0000 0.1873 0.3876
Cd1 Cd 0.2106 0.0000 0.0000
Ru1 Ru 0.2500 0.2500 0.2500
```

Principal peaks in the range 2θ from 15° to 90°, in order of falling intensity:
hkl  d [Å]  2θ/deg  I_rel
2 2 2  2.529  35.5  100
1 3 1  2.816  31.8  95
1 1 5  2.742  32.7  87
2 0 4  2.501  35.9  76
1 3 3  2.520  35.6  51
0 2 4  3.070  29.1  49
0 2 6  2.329  38.7  40
1 5 5  1.593  57.9  40
2 2 4  2.218  40.7  37
0 6 0  1.599  57.7  34
3 3 3  1.686  54.4  30
2 0 0  3.207  27.8  29

---

ZrTcBr4: theoretical X-ray diffraction stick pattern (Cu Kα (weighted mean of Kα1 and Kα2)), based on the PBE geometry in Alexandria.
Peak positions follow from Bragg's law for the DFT cell and can differ from measured ones.

```
data_ZrTcBr4
_cell_length_a 8.5722
_cell_length_b 8.5722
_cell_length_c 8.5722
_cell_angle_alpha 90.00
_cell_angle_beta 90.00
_cell_angle_gamma 90.00
_space_group_name_H-M_alt 'F -4 3 m'
_space_group_IT_number 216
_space_group_name_Hall 'F -4 2 3'
loop_
_atom_site_label
_atom_site_type_symbol
_atom_site_fract_x
_atom_site_fract_y
_atom_site_fract_z
Zr1 Zr 0.0000 0.0000 0.0000
Tc1 Tc 0.2500 0.2500 0.2500
Br1 Br 0.1249 0.1249 0.6249
```

Principal peaks in the range 2θ from 15° to 90°, in order of falling intensity:
hkl  d [Å]  2θ/deg  I_rel
3 1 1  2.585  34.7  100
2 2 2  2.475  36.3  35
5 1 1  1.650  55.7  33
2 2 0  3.031  29.5  32
4 4 0  1.515  61.2  28
7 3 1  1.116  87.4  21
6 2 2  1.292  73.2  13
4 2 2  1.750  52.3  13
5 3 3  1.307  72.3  11
6 4 2  1.146  84.6  6
6 2 0  1.355  69.3  5
4 0 0  2.143  42.2  3